Starting from a cell relaxed with GGA-PBE, the PXRD pattern of Nd4IrAu was computed for Cu Kα, 1.54184 Å.
No peak broadening, texture or thermal motion is included.

Structural model:
Lattice parameters (Å, degrees): 8.2601 8.2601 6.2437 104.75 104.75 114.11
Atoms (fractional coordinates):
Nd 0.0608 0.6985 0.9157
Nd 0.2199 0.3563 0.6902
Nd 0.3015 0.9392 0.5843
Nd 0.3563 0.2199 0.1902
Nd 0.6437 0.7801 0.8098
Nd 0.6985 0.0608 0.4157
Nd 0.7801 0.6437 0.3098
Nd 0.9392 0.3015 0.0843
Ir 0.0008 0.9992 0.7500
Ir 0.9992 0.0008 0.2500
Au 0.3744 0.6256 0.2500
Au 0.6256 0.3744 0.7500

Peak list (10 most intense, 2θ = 10–90°, in order of rising 2θ)
2θ 12.79, rel. 42.9
2θ 30.51, rel. 100.0
2θ 33.13, rel. 34.5
2θ 34.26, rel. 50.4
2θ 34.90, rel. 58.1
2θ 35.01, rel. 28.6
2θ 35.91, rel. 57.8
2θ 39.23, rel. 38.2
2θ 39.57, rel. 30.9
2θ 61.83, rel. 22.6